Calculated X-ray powder pattern of KRbCoO2 for λ = 1.5418 Å (Cu Kα), from a structure optimized by DFT (GGA+U).
Lines closer than 0.1° are merged.

Crystal structure
Unit cell a=3.989 b=3.989 c=13.159 alpha=90.00 beta=90.00 gamma=90.00
Positions (direct):
K 0.000 0.000 0.000
K 0.500 0.500 0.500
Rb 0.000 0.000 0.316
Rb 0.500 0.500 0.816
Co 0.000 0.000 0.658
Co 0.500 0.500 0.158
O 0.000 0.000 0.527
O 0.000 0.000 0.789
O 0.500 0.500 0.027
O 0.500 0.500 0.289

Top 10 peaks for 2θ from 15° to 90°, most intense first:
- 2θ = 30.29°, I 1000
- 2θ = 31.72°, I 849
- 2θ = 55.62°, I 344
- 2θ = 45.48°, I 287
- 2θ = 52.88°, I 267
- 2θ = 41.15°, I 181
- 2θ = 62.99°, I 174
- 2θ = 23.30°, I 126
- 2θ = 85.96°, I 121
- 2θ = 68.33°, I 116